This entry pairs a crystal structure of WBrF2 with its computed PXRD pattern. Radiation: Cu Kα (weighted mean of Kα1 and Kα2). Structure: DFT lattice parameters and positions (GGA+U).
Intensities are scaled so that the largest is 1000.

a = 7.565 Å, b = 7.565 Å, c = 7.565 Å
α = 142.08°, β = 142.08°, γ = 54.70°
Positions (direct):
W 0.375 0.625 0.750
W 0.625 0.375 0.250
Br 0.125 0.875 0.250
Br 0.875 0.125 0.750
F 0.000 0.500 0.500
F 0.500 0.000 0.000
F 0.500 0.500 0.000
F 0.500 0.500 0.500

Main lines, sorted by position (2θ = 10–90°):
19.23 deg, I = 312; 26.53 deg, I = 221; 28.92 deg, I = 1000; 36.56 deg, I = 268; 45.74 deg, I = 285; 48.34 deg, I = 243; 59.93 deg, I = 162; 61.20 deg, I = 240; 67.54 deg, I = 89; 74.27 deg, I = 137